Record 1
CaLa4P5: simulated powder diffractogram (a wavelength of 1.5418 Å), based on the GGA-PBE geometry in Alexandria.

Peak list (10 most intense, 2θ = 5–70°, in order of rising 2θ)
2theta, d (Å), intensity, hkl
25.6, 3.475, 96, 1 1 0
29.6, 3.015, 100, 1 0 5
29.8, 3.000, 49, 0 2 0
42.4, 2.134, 18, 2 0 0
42.5, 2.127, 91, 1 2 5
50.2, 1.817, 32, 2 1 5
50.4, 1.811, 16, 1 3 0
52.7, 1.738, 38, 2 2 0
61.5, 1.507, 12, 2 0 10
69.8, 1.347, 24, 2 2 10

Structure:
```
data_CaLa4P5
_chemical_formula_sum 'Ca2 La8 P10'
_space_group_name_H-M_alt 'I m m m'
_space_group_IT_number 71
_space_group_name_Hall '-I 2 2'
_cell_length_a 4.268
_cell_length_b 5.999
_cell_length_c 21.291
_cell_angle_alpha 90.00
_cell_angle_beta 90.00
_cell_angle_gamma 90.00
loop_
_atom_site_label
_atom_site_type_symbol
_atom_site_fract_x
_atom_site_fract_y
_atom_site_fract_z
Ca1 Ca 0.000 0.000 0.000
La1 La 0.000 0.000 0.199
La2 La 0.000 0.000 0.402
P1 P 0.000 0.500 0.000
P2 P 0.000 0.500 0.199
P3 P 0.000 0.500 0.398
```


Record 2
La2ZnGe: simulated powder diffractogram (a wavelength of 1.5418 Å), based on the GGA-PBE geometry in Alexandria.

Peak list (10 most intense, 2θ = 5–70°, in order of rising 2θ)
2theta, d (Å), intensity, hkl
26.1, 3.413, 24, 1 1 -1
30.0, 2.975, 100, 0 1 2
30.7, 2.914, 50, 2 0 0
31.1, 2.877, 23, 2 0 -2
37.4, 2.401, 53, 2 1 0
37.8, 2.381, 22, 2 1 -2
40.3, 2.240, 26, 1 0 3
42.6, 2.120, 23, 0 2 0
53.4, 1.714, 21, 2 2 0
60.1, 1.540, 16, 1 2 3

Structure:
```
data_La2ZnGe
_chemical_formula_sum 'La4 Zn2 Ge2'
_space_group_name_H-M_alt 'P 1 21/m 1'
_space_group_IT_number 11
_cell_length_a 6.172
_cell_length_b 4.240
_cell_length_c 8.854
_cell_angle_alpha 90.00
_cell_angle_beta 109.34
_cell_angle_gamma 90.00
loop_
_space_group_symop_operation_xyz
'x,y,z'
'-x,-y,-z'
'-x,y+1/2,-z'
'x,-y+1/2,z'
loop_
_atom_site_label
_atom_site_type_symbol
_atom_site_fract_x
_atom_site_fract_y
_atom_site_fract_z
La1 La 0.207 0.250 0.420
La2 La 0.286 0.750 0.062
Zn1 Zn 0.163 0.250 0.778
Ge1 Ge 0.365 0.750 0.706
```


Record 3
HoRh4Au: simulated powder diffractogram (a wavelength of 1.5418 Å), based on the GGA-PBE geometry in Alexandria.

Peak list (7 most intense, 2θ = 5–70°, in order of rising 2θ)
2theta, d (Å), intensity, hkl
20.8, 4.280, 2, 1 1 1
34.2, 2.621, 47, 2 2 0
40.3, 2.235, 100, 3 1 1
42.2, 2.140, 24, 2 2 2
53.9, 1.701, 1, 3 3 1
61.3, 1.513, 18, 4 2 2
65.4, 1.427, 32, 3 3 3

Structure:
```
data_HoRh4Au
_chemical_formula_sum 'Ho4 Rh16 Au4'
_space_group_name_H-M_alt 'F -4 3 m'
_space_group_IT_number 216
_space_group_name_Hall 'F -4 2 3'
_cell_length_a 7.414
_cell_length_b 7.414
_cell_length_c 7.414
_cell_angle_alpha 90.00
_cell_angle_beta 90.00
_cell_angle_gamma 90.00
loop_
_atom_site_label
_atom_site_type_symbol
_atom_site_fract_x
_atom_site_fract_y
_atom_site_fract_z
Ho1 Ho 0.000 0.000 0.000
Rh1 Rh 0.125 0.125 0.375
Au1 Au 0.250 0.250 0.750
```


Record 4
TbSm5Ho2: simulated powder diffractogram (a wavelength of 1.5418 Å), based on the GGA-PBE geometry in Alexandria.

Peak list (5 most intense, 2θ = 5–70°, in order of rising 2θ)
2theta, d (Å), intensity, hkl
30.5, 2.934, 100, 2 0 1
35.3, 2.541, 51, 2 4 0
50.8, 1.797, 36, 4 0 0
60.4, 1.532, 43, 4 4 1
63.4, 1.467, 12, 4 0 2

Structure:
```
data_TbSm5Ho2
_chemical_formula_sum 'Tb2 Sm10 Ho4'
_space_group_name_H-M_alt 'P b a m'
_space_group_IT_number 55
_cell_length_a 7.191
_cell_length_b 14.381
_cell_length_c 5.076
_cell_angle_alpha 90.00
_cell_angle_beta 90.00
_cell_angle_gamma 90.00
loop_
_space_group_symop_operation_xyz
'x,y,z'
'-x,-y,-z'
'-x,-y,z'
'x,y,-z'
'x+1/2,-y+1/2,-z'
'-x+1/2,y+1/2,z'
'-x+1/2,y+1/2,-z'
'x+1/2,-y+1/2,z'
loop_
_atom_site_label
_atom_site_type_symbol
_atom_site_fract_x
_atom_site_fract_y
_atom_site_fract_z
Tb1 Tb 0.000 0.000 0.000
Sm1 Sm 0.000 0.249 0.000
Sm2 Sm 0.000 0.500 0.000
Sm3 Sm 0.250 0.125 0.500
Ho1 Ho 0.250 0.375 0.500
```


Record 5
CdPd7Pt3: simulated powder diffractogram (a wavelength of 1.5418 Å), based on the GGA-PBE geometry in Alexandria.

Peak list (10 most intense, 2θ = 5–70°, in order of rising 2θ)
2theta, d (Å), intensity, hkl
21.7, 4.103, 16, 2 0 0
28.8, 3.101, 16, 0 2 1
37.5, 2.397, 22, 2 0 1
38.0, 2.370, 29, 4 0 -1
39.3, 2.295, 71, 0 4 0
42.1, 2.148, 100, 2 2 -2
42.5, 2.125, 84, 2 2 1
42.9, 2.106, 71, 4 2 -1
55.7, 1.649, 18, 4 4 -1
66.7, 1.402, 14, 0 0 3

Structure:
```
data_CdPd7Pt3
_chemical_formula_sum 'Cd2 Pd14 Pt6'
_space_group_name_H-M_alt 'C 1 m 1'
_space_group_IT_number 8
_cell_length_a 9.483
_cell_length_b 9.181
_cell_length_c 4.862
_cell_angle_alpha 90.00
_cell_angle_beta 120.09
_cell_angle_gamma 90.00
loop_
_space_group_symop_operation_xyz
'x,y,z'
'x,-y,z'
'x+1/2,y+1/2,z'
'x+1/2,-y+1/2,z'
loop_
_atom_site_label
_atom_site_type_symbol
_atom_site_fract_x
_atom_site_fract_y
_atom_site_fract_z
Cd1 Cd 0.000 0.000 0.000
Pd1 Pd 0.147 0.500 0.658
Pd2 Pd 0.165 0.000 0.667
Pd3 Pd 0.166 0.251 0.988
Pd4 Pd 0.326 0.500 0.331
Pd5 Pd 0.331 0.240 0.648
Pt1 Pt 0.490 0.000 0.011
Pt2 Pt 0.496 0.246 0.320
```


Record 6
GeTePbO6: simulated powder diffractogram (a wavelength of 1.5418 Å), based on the GGA-PBE geometry in Alexandria.

Peak list (10 most intense, 2θ = 5–70°, in order of rising 2θ)
2theta, d (Å), intensity, hkl
19.8, 4.482, 7, 1 0 0
25.6, 3.481, 100, 1 0 2
32.4, 2.763, 10, 0 0 4
34.7, 2.588, 31, 1 1 0
43.6, 2.077, 22, 2 0 2
48.2, 1.889, 37, 1 1 4
53.8, 1.704, 12, 1 0 6
56.8, 1.620, 22, 2 1 2
62.1, 1.494, 9, 3 0 0
65.6, 1.423, 8, 2 0 6

Structure:
```
data_GeTePbO6
_chemical_formula_sum 'Ge2 Te2 Pb2 O12'
_space_group_name_H-M_alt 'P -3 1 c'
_space_group_IT_number 163
_space_group_name_Hall '-P 3 2c'
_cell_length_a 5.1754
_cell_length_b 5.1754
_cell_length_c 11.0510
_cell_angle_alpha 90.00
_cell_angle_beta 90.00
_cell_angle_gamma 120.00
loop_
_atom_site_label
_atom_site_type_symbol
_atom_site_fract_x
_atom_site_fract_y
_atom_site_fract_z
Ge1 Ge 0.3333 0.6667 0.2500
Te1 Te 0.3333 0.6667 0.7500
Pb1 Pb 0.0000 0.0000 0.0000
O1 O 0.0040 0.3846 0.1510
```


Number 3 is which compound?
HoRh4Au